Structure and calculated powder XRD pattern of TiS5Cl2O6 (a PBE-relaxed structure; a wavelength of 1.5418 Å).
Intensities are scaled so that the largest is 100.

The 12 most intense peaks (10 to 90 degrees two-theta), by intensity:
h k l	d_spacing	I/Imax
1 0 0	7.928	100.0
-2 1 2	3.598	76.3
1 0 -3	3.847	73.1
1 1 0	5.763	51.0
-1 1 2	4.564	49.9
1 -2 2	3.040	49.4
-2 2 1	3.108	44.8
0 0 2	5.392	40.6
1 1 -2	4.776	32.3
1 -2 0	3.960	28.4
1 -1 1	4.854	23.6
-1 1 1	5.877	23.6

a = 8.5215 Å, b = 8.9047 Å, c = 11.6100 Å
α = 94.07°, β = 111.22°, γ = 91.35°
Element x y z (fractional)
Ti 0.0689 0.2523 0.1654
Ti 0.9311 0.7477 0.8346
S 0.0760 0.4690 0.6836
S 0.0784 0.0705 0.7476
S 0.3267 0.5703 0.1684
S 0.3563 0.2634 0.5122
S 0.3809 0.0179 0.1395
S 0.6191 0.9821 0.8605
S 0.6437 0.7366 0.4878
S 0.6733 0.4297 0.8316
S 0.9216 0.9295 0.2524
S 0.9240 0.5310 0.3164
Cl 0.1359 0.6569 0.4358
Cl 0.3802 0.2285 0.7856
Cl 0.6198 0.7715 0.2144
Cl 0.8641 0.3431 0.5642
O 0.0155 0.6163 0.7247
O 0.0289 0.0663 0.2444
O 0.0931 0.7639 0.9670
O 0.1919 0.4445 0.1447
O 0.2460 0.1331 0.1190
O 0.3282 0.2655 0.3766
O 0.6718 0.7345 0.6234
O 0.7540 0.8669 0.8810
O 0.8081 0.5555 0.8553
O 0.9069 0.2361 0.0330
O 0.9711 0.9337 0.7556
O 0.9845 0.3837 0.2753